1.
Calculated powder X-ray diffraction pattern
Compound: Li7Mn2Co3O12
Radiation: Cu Ka
Structure: a structure optimized by DFT (GGA+U)
Intensities are scaled so that the largest is 100.

Structural model:
```
Li7Mn2Co3O12
1.0
3.0248 0.0000 0.0000
-1.4778 6.2224 0.0000
-1.0406 -3.0055 11.5956
Li Mn Co O
7 2 3 12
Cartesian
0.0000 0.0000 0.0000
-0.2543 -0.7108 2.8850
-0.5911 2.4177 6.7682
-0.0577 3.9156 0.9378
0.5641 -0.6987 10.6577
1.0975 0.7992 4.8274
0.7607 3.9278 8.7106
-0.3184 3.1315 3.8519
0.8248 0.0855 7.7437
-0.5203 -1.5027 5.7978
-0.8639 1.7117 9.7635
1.3703 1.5052 1.8321
-0.3580 1.2860 3.3093
-0.8729 -0.1590 9.1752
-0.4864 0.3524 6.3000
0.0171 1.9156 0.6039
0.7950 -1.7845 7.1838
-0.8501 3.4209 10.0671
1.3565 -0.2040 1.5285
-0.2886 5.0014 4.4118
0.4893 1.3013 10.9917
0.9929 2.8645 5.2955
1.3793 3.3759 2.4203
0.8644 1.9309 8.2862
```

Most intense lines, 2θ from 15° to 90°, low angle first:
d_spacing, 2θ (°), I/Imax
4.826, 18.39, 100.0
2.645, 33.90, 20.6
2.462, 36.49, 11.8
2.433, 36.94, 13.9
2.223, 40.59, 37.7
2.037, 44.47, 27.4
2.008, 45.16, 25.3
1.507, 61.55, 9.4
1.497, 61.98, 8.5
1.487, 62.48, 8.7

=====

2.
Calculated powder X-ray diffraction pattern
Compound: Li2MnCoO4
Radiation: Cu Ka
Structure: a structure optimized by DFT (GGA+U)
Intensities are scaled so that the largest is 100.

Structural model:
```
Li2MnCoO4
1.0
3.0617 0.0000 0.0000
-0.5160 6.0299 0.0000
-0.1309 -0.1089 8.0998
Li Mn Co O
4 2 2 8
Cartesian
0.0000 0.0000 0.0000
-0.3154 2.9396 4.1076
1.0360 4.4393 6.0803
1.3737 1.4723 2.0861
-0.2554 2.9807 0.0212
1.0757 4.4857 2.0699
1.3453 1.4054 6.0905
2.9754 -0.0402 4.0915
-0.2204 3.0050 1.9806
0.0342 -0.0174 6.0206
1.0451 4.4594 0.1158
1.0004 4.5439 4.0067
1.4034 1.3675 4.1920
1.3613 1.4180 8.0145
2.4113 5.9422 2.1635
2.6354 2.8339 6.1706
```

Most intense lines, 2θ from 15° to 90°, low angle first:
d_spacing, 2θ (°), I/Imax
4.868, 18.22, 100.0
2.672, 33.54, 20.7
2.488, 36.09, 12.7
2.453, 36.63, 16.6
2.242, 40.22, 33.4
2.058, 44.00, 24.7
2.025, 44.76, 23.3
1.943, 46.76, 11.3
1.525, 60.73, 7.9
1.507, 61.52, 7.8

=====

3.
Calculated powder X-ray diffraction pattern
Compound: Li3Mn4CoO8
Radiation: Cu Ka
Structure: a structure optimized by DFT (GGA+U)
Intensities are scaled so that the largest is 100.

Structural model:
```
Li3Mn4CoO8
1.0
5.1876 -3.0647 0.0000
5.1876 3.0647 0.0000
-3.6130 0.0000 4.9543
Li Mn Co O
3 4 1 8
Cartesian
0.0000 0.0000 0.0000
2.5938 1.5323 0.0000
2.5938 -1.5323 0.0000
-1.8065 0.0000 2.4771
0.7873 1.5323 2.4771
0.7873 -1.5323 2.4771
5.1876 0.0000 0.0000
3.3812 0.0000 2.4771
2.3985 1.5316 3.6376
1.5544 0.0000 1.4614
-0.1618 0.0000 3.8316
4.3639 1.5316 1.3167
2.3985 -1.5316 3.6376
6.9241 0.0000 1.1227
5.2079 0.0000 3.4929
4.3639 -1.5316 1.3167
```

Most intense lines, 2θ from 15° to 90°, low angle first:
d_spacing, 2θ (°), I/Imax
4.952, 17.91, 100.0
2.605, 34.42, 34.2
2.474, 36.31, 49.9
2.167, 41.67, 99.1
2.096, 43.17, 44.6
1.533, 60.40, 27.4
1.508, 61.50, 25.6
1.505, 61.61, 26.0
1.303, 72.55, 16.1
1.237, 77.13, 18.0